Theoretical X-ray diffraction stick pattern of ScFe2PdS for CuKα, from a cell relaxed with PBE.
Neutral-atom scattering factors, no anomalous dispersion.

Main lines, by angle (15 to 90 degrees two-theta):
2θ (°)	d_spacing	I_rel
17.60	5.040	886
19.17	4.630	964
26.14	3.409	602
32.62	2.745	280
35.63	2.520	646
38.91	2.315	1000
40.77	2.213	276
43.00	2.104	367
47.47	1.915	228
53.77	1.705	736
56.19	1.637	319
68.33	1.373	341

Cell and atoms:
Lattice parameters (Å, degrees): 4.6298 4.6298 5.0398 90.00 90.00 90.00
Atoms (fractional coordinates):
Sc: 0.0000 0.0000 0.0000
Fe: 0.0000 0.5000 0.5000
Fe: 0.5000 0.0000 0.5000
Pd: 0.0000 0.0000 0.5000
S: 0.5000 0.5000 0.0000

=====

Theoretical X-ray diffraction stick pattern of Tm7GaS5 for CuKα, from a cell relaxed with PBE.
Neutral-atom scattering factors, no anomalous dispersion.

Main lines, by angle (15 to 90 degrees two-theta):
2θ (°)	d_spacing	I_rel
28.34	3.150	247
28.88	3.091	577
30.72	2.910	1000
31.22	2.865	240
32.43	2.760	939
33.62	2.665	531
34.34	2.611	254
43.25	2.092	231
47.24	1.924	446
47.41	1.918	315
56.18	1.637	366
57.56	1.601	342

Cell and atoms:
Lattice parameters (Å, degrees): 6.6426 6.6426 22.9095 90.02 90.02 33.56
Atoms (fractional coordinates):
Tm: 0.0245 0.0245 0.2500
Tm: 0.1378 0.1378 0.5356
Tm: 0.1377 0.1377 0.9644
Tm: 0.3172 0.3172 0.1768
Tm: 0.3169 0.3169 0.3232
Tm: 0.4068 0.4068 0.6129
Tm: 0.4065 0.4065 0.8870
Tm: 0.5935 0.5935 0.1130
Tm: 0.5932 0.5932 0.3871
Tm: 0.6831 0.6831 0.6768
Tm: 0.6828 0.6828 0.8232
Tm: 0.8623 0.8623 0.0356
Tm: 0.8622 0.8622 0.4644
Tm: 0.9755 0.9755 0.7500
Ga: 0.3047 0.3047 0.7501
Ga: 0.6953 0.6953 0.2499
S: 0.0475 0.0475 0.8597
S: 0.0478 0.0478 0.6403
S: 0.2262 0.2262 0.0712
S: 0.2260 0.2260 0.4288
S: 0.5000 0.5000 0.0000
S: 0.5000 0.5000 0.5000
S: 0.7740 0.7740 0.5712
S: 0.7738 0.7738 0.9288
S: 0.9522 0.9522 0.3597
S: 0.9525 0.9525 0.1403